[1]
For K2PbBr5, DFT lattice parameters and positions (GGA-PBE) gives the computed X-ray diffraction stick pattern in this record (λ = 1.5418 Å (Cu Kα)).
Kinematic intensities with the Lorentz-polarization factor, no thermal factor.

Most intense lines, 10 to 90 degrees two-theta, in order of falling intensity:
2.905 Å, 2θ 30.78, rel. 100; 5.146 Å, 2θ 17.23, rel. 93; 3.006 Å, 2θ 29.72, rel. 65; 2.490 Å, 2θ 36.07, rel. 64; 6.286 Å, 2θ 14.09, rel. 60; 1.918 Å, 2θ 47.41, rel. 59; 3.420 Å, 2θ 26.06, rel. 53; 4.978 Å, 2θ 17.82, rel. 51

Crystal structure
```
K2PbBr5
1.0
0.0000 6.2862 8.1504
3.0058 0.0000 8.1504
3.0058 6.2862 0.0000
K Pb Br
2 1 5
direct
0.1886 0.1886 0.8114
0.8114 0.8114 0.1886
0.5000 0.5000 0.5000
0.0000 0.0000 0.0000
0.2170 0.5125 0.4875
0.4875 0.7830 0.2170
0.5125 0.2170 0.7830
0.7830 0.4875 0.5125
```

***

[2]
For ReTe4Mo2, DFT lattice parameters and positions (GGA-PBE) gives the computed X-ray diffraction stick pattern in this record (λ = 1.5418 Å (Cu Kα)).
Kinematic intensities with the Lorentz-polarization factor, no thermal factor.

Most intense lines, 10 to 90 degrees two-theta, in order of falling intensity:
7.161 Å, 2θ 12.36, rel. 100; 2.149 Å, 2θ 42.05, rel. 50; 7.047 Å, 2θ 12.56, rel. 39; 1.982 Å, 2θ 45.79, rel. 26; 2.178 Å, 2θ 41.46, rel. 25; 2.959 Å, 2θ 30.20, rel. 25; 1.956 Å, 2θ 46.43, rel. 19; 2.383 Å, 2θ 37.75, rel. 18

Crystal structure
```
ReTe4Mo2
1.0
7.0693 0.0000 0.0000
-0.5490 7.1628 0.0000
-0.1026 -0.4468 7.1763
Re Te Mo
2 8 4
direct
0.0000 0.0000 0.0000
0.3021 0.8760 0.8307
0.0059 0.3322 0.2066
0.1417 0.1885 0.7010
0.3537 0.7241 0.4606
0.4884 0.5836 0.9503
0.5382 0.2623 0.3577
0.6420 0.0851 0.8351
0.8561 0.8347 0.3170
0.9599 0.6665 0.7960
0.1591 0.7005 0.1244
0.1971 0.0426 0.3311
0.3381 0.2144 0.0305
0.4977 0.9174 0.1602
```